# 1
Computed powder XRD pattern
Compound: K3PbAu5
Radiation: Cu Kα
Structure: a DFT-relaxed cell (PBE, the Materials Project)

Top 10 peaks for 2θ = 5–70°, in order of falling intensity:
- 2θ = 18.49°, rel. 100
- 2θ = 16.79°, rel. 88
- 2θ = 33.94°, rel. 55
- 2θ = 38.57°, rel. 40
- 2θ = 37.49°, rel. 36
- 2θ = 39.89°, rel. 33
- 2θ = 32.67°, rel. 28
- 2θ = 29.09°, rel. 28
- 2θ = 48.10°, rel. 27
- 2θ = 41.71°, rel. 23

Crystal structure
abc: 11.2835 11.2835 11.2835
angles: 150.36 54.78 135.03
Fractional positions:
K (0.1245, 0.8745, 0.2500)
K (0.2092, 0.1235, 0.0857)
K (0.4622, 0.8765, 0.5857)
K (0.5378, 0.1235, 0.4143)
K (0.7908, 0.8765, 0.9143)
K (0.8755, 0.1255, 0.7500)
Pb (0.4176, 0.6676, 0.7500)
Pb (0.5824, 0.3324, 0.2500)
Au (0.0000, 0.5000, 0.5000)
Au (0.1064, 0.4625, 0.6439)
Au (0.1848, 0.0000, 0.6848)
Au (0.1848, 0.5000, 0.1848)
Au (0.3185, 0.4625, 0.8561)
Au (0.5000, 0.5000, 0.0000)
Au (0.6815, 0.5375, 0.1439)
Au (0.8152, 0.0000, 0.3152)
Au (0.8152, 0.5000, 0.8152)
Au (0.8936, 0.5375, 0.3561)


# 2
Computed powder XRD pattern
Compound: KRbAu2
Radiation: Cu Kα
Structure: a DFT-relaxed cell (PBE, the Materials Project)

Top 10 peaks for 2θ = 5–70°, in order of falling intensity:
- 2θ = 30.74°, rel. 100
- 2θ = 54.65°, rel. 39
- 2θ = 21.60°, rel. 30
- 2θ = 44.02°, rel. 19
- 2θ = 49.55°, rel. 15
- 2θ = 64.02°, rel. 12
- 2θ = 37.88°, rel. 10
- 2θ = 68.41°, rel. 7
- 2θ = 18.68°, rel. 2
- 2θ = 36.21°, rel. 1

Crystal structure
abc: 8.2277 8.2277 8.2277
angles: 90.00 90.00 90.00
Fractional positions:
K (0.0000, 0.0000, 0.0000)
K (0.0000, 0.5000, 0.5000)
K (0.5000, 0.0000, 0.5000)
K (0.5000, 0.5000, 0.0000)
Rb (0.0000, 0.0000, 0.5000)
Rb (0.0000, 0.5000, 0.0000)
Rb (0.5000, 0.0000, 0.0000)
Rb (0.5000, 0.5000, 0.5000)
Au (0.2500, 0.2500, 0.2500)
Au (0.2500, 0.2500, 0.7500)
Au (0.2500, 0.7500, 0.2500)
Au (0.2500, 0.7500, 0.7500)
Au (0.7500, 0.2500, 0.2500)
Au (0.7500, 0.2500, 0.7500)
Au (0.7500, 0.7500, 0.2500)
Au (0.7500, 0.7500, 0.7500)